For YSbO4, a DFT-relaxed cell (PBE, Alexandria) gives the computed powder XRD pattern in this record (Cu Kα (λ = 1.5418 Å)).
Peak positions follow from Bragg's law for the DFT cell and can differ from measured ones.

Main lines, low angle first (2θ from 15° to 90°):
h k l  two_theta  d_spacing  intensity
2 0 0  23.4  3.794  16
2 1 0  28.8  3.104  100
0 1 2  29.0  3.075  71
1 1 -2  29.9  2.986  21
0 2 0  33.2  2.700  24
2 1 -2  35.1  2.553  16
2 2 2  49.9  1.826  27
4 1 2  60.5  1.529  18

a = 7.680 Å, b = 5.400 Å, c = 7.574 Å
α = 90.00°, β = 98.92°, γ = 90.00°
Atoms (fractional coordinates):
Y (0.146, 0.225, 0.389)
Y (0.146, 0.275, 0.889)
Y (0.854, 0.725, 0.111)
Y (0.854, 0.775, 0.611)
Sb (0.337, 0.732, 0.193)
Sb (0.337, 0.768, 0.693)
Sb (0.663, 0.232, 0.307)
Sb (0.663, 0.268, 0.807)
O (0.114, 0.524, 0.175)
O (0.114, 0.976, 0.675)
O (0.177, 0.011, 0.120)
O (0.177, 0.489, 0.620)
O (0.329, 0.619, 0.939)
O (0.329, 0.881, 0.439)
O (0.433, 0.094, 0.807)
O (0.433, 0.406, 0.307)
O (0.567, 0.594, 0.693)
O (0.567, 0.906, 0.193)
O (0.671, 0.119, 0.561)
O (0.671, 0.381, 0.061)
O (0.823, 0.511, 0.380)
O (0.823, 0.989, 0.880)
O (0.886, 0.024, 0.325)
O (0.886, 0.476, 0.825)